Computed powder diffractogram
Compound: Dy2GaCu12Ni3
Radiation: Cu Ka
Structure: a crystal structure in Alexandria, relaxed with GGA-PBE
Neutral-atom scattering factors, no anomalous dispersion.

Structure:
```
data_Dy2GaCu12Ni3
_chemical_formula_sum 'Dy6 Ga3 Cu36 Ni9'
_space_group_name_H-M_alt 'R -3 m'
_space_group_IT_number 166
_space_group_name_Hall '-R 3 2"'
_cell_length_a 8.4392
_cell_length_b 8.4392
_cell_length_c 12.2970
_cell_angle_alpha 90.00
_cell_angle_beta 90.00
_cell_angle_gamma 120.00
loop_
_atom_site_label
_atom_site_type_symbol
_atom_site_fract_x
_atom_site_fract_y
_atom_site_fract_z
_atom_site_occupancy
Dy1 Dy 0.0000 0.0000 0.2455 1
Ga1 Ga 0.0000 0.0000 0.5000 1
Cu1 Cu 0.0149 0.5075 0.2072 1
Cu2 Cu 0.0496 0.5248 0.6003 1
Ni1 Ni 0.0000 0.5000 0.0000 1
```

Principal peaks in the range 2θ = 10–90°, in order of rising 2θ:
2θ (°), I/Imax
28.41, 15
31.57, 17
35.63, 33
38.26, 19
42.86, 100
44.07, 18
44.40, 47
63.42, 12
75.48, 11
78.53, 11


Computed powder diffractogram
Compound: DyGa5CuNi2
Radiation: Cu Ka
Structure: a crystal structure in Alexandria, relaxed with GGA-PBE
Neutral-atom scattering factors, no anomalous dispersion.

Structure:
```
data_DyGa5CuNi2
_chemical_formula_sum 'Dy1 Ga5 Cu1 Ni2'
_space_group_name_H-M_alt 'P 4/m m m'
_space_group_IT_number 123
_space_group_name_Hall '-P 4 2'
_cell_length_a 4.1860
_cell_length_b 4.1860
_cell_length_c 9.4671
_cell_angle_alpha 90.00
_cell_angle_beta 90.00
_cell_angle_gamma 90.00
loop_
_atom_site_label
_atom_site_type_symbol
_atom_site_fract_x
_atom_site_fract_y
_atom_site_fract_z
_atom_site_occupancy
Dy1 Dy 0.0000 0.0000 0.0000 1
Ga1 Ga 0.0000 0.5000 0.3442 1
Ga2 Ga 0.5000 0.5000 0.0000 1
Cu1 Cu 0.0000 0.0000 0.5000 1
Ni1 Ni 0.5000 0.5000 0.2314 1
```

Principal peaks in the range 2θ = 10–90°, in order of rising 2θ:
2θ (°), I/Imax
28.28, 47
28.46, 90
31.67, 100
35.78, 50
43.23, 95
49.30, 96
52.46, 34
52.57, 32
62.78, 30
83.71, 39


Computed powder diffractogram
Compound: DyGa2CuPd
Radiation: Cu Ka
Structure: a crystal structure in Alexandria, relaxed with GGA-PBE
Neutral-atom scattering factors, no anomalous dispersion.

Structure:
```
data_DyGa2CuPd
_chemical_formula_sum 'Dy2 Ga4 Cu2 Pd2'
_space_group_name_H-M_alt 'I -4 m 2'
_space_group_IT_number 119
_space_group_name_Hall 'I -4 -2'
_cell_length_a 4.1644
_cell_length_b 4.1644
_cell_length_c 10.4386
_cell_angle_alpha 90.00
_cell_angle_beta 90.00
_cell_angle_gamma 90.00
loop_
_atom_site_label
_atom_site_type_symbol
_atom_site_fract_x
_atom_site_fract_y
_atom_site_fract_z
_atom_site_occupancy
Dy1 Dy 0.0000 0.0000 0.0000 1
Ga1 Ga 0.0000 0.0000 0.3801 1
Cu1 Cu 0.0000 0.5000 0.7500 1
Pd1 Pd 0.0000 0.5000 0.2500 1
```

Principal peaks in the range 2θ = 10–90°, in order of rising 2θ:
2θ (°), I/Imax
33.56, 61
34.99, 100
43.46, 53
48.80, 26
56.01, 28
61.95, 15
63.15, 17
67.38, 19
74.28, 21
88.41, 13


Computed powder diffractogram
Compound: PmDy2Ga2Cu2
Radiation: Cu Ka
Structure: a crystal structure in Alexandria, relaxed with GGA-PBE
Neutral-atom scattering factors, no anomalous dispersion.

Structure:
```
data_PmDy2Ga2Cu2
_chemical_formula_sum 'Pm3 Dy6 Ga6 Cu6'
_space_group_name_H-M_alt 'R -3 m'
_space_group_IT_number 166
_space_group_name_Hall '-R 3 2"'
_cell_length_a 4.4143
_cell_length_b 4.4143
_cell_length_c 27.5389
_cell_angle_alpha 90.00
_cell_angle_beta 90.00
_cell_angle_gamma 120.00
loop_
_atom_site_label
_atom_site_type_symbol
_atom_site_fract_x
_atom_site_fract_y
_atom_site_fract_z
_atom_site_occupancy
Pm1 Pm 0.0000 0.0000 0.0000 1
Dy1 Dy 0.0000 0.0000 0.1248 1
Ga1 Ga 0.0000 0.0000 0.2606 1
Cu1 Cu 0.0000 0.0000 0.4024 1
```

Principal peaks in the range 2θ = 10–90°, in order of rising 2θ:
2θ (°), I/Imax
23.49, 45
32.66, 77
35.08, 100
40.89, 96
53.28, 19
54.95, 27
66.21, 31
69.28, 17
70.71, 26
74.45, 16


Computed powder diffractogram
Compound: Dy2Ga3CuPt4
Radiation: Cu Ka
Structure: a crystal structure in Alexandria, relaxed with GGA-PBE
Neutral-atom scattering factors, no anomalous dispersion.

Structure:
```
data_Dy2Ga3CuPt4
_chemical_formula_sum 'Dy2 Ga3 Cu1 Pt4'
_space_group_name_H-M_alt 'P -4 m 2'
_space_group_IT_number 115
_cell_length_a 4.0333
_cell_length_b 4.0333
_cell_length_c 11.3175
_cell_angle_alpha 90.00
_cell_angle_beta 90.00
_cell_angle_gamma 90.00
loop_
_space_group_symop_operation_xyz
'x,y,z'
'y,-x,-z'
'-x,-y,z'
'-y,x,-z'
'-x,y,z'
'-y,-x,-z'
'x,-y,z'
'y,x,-z'
loop_
_atom_site_label
_atom_site_type_symbol
_atom_site_fract_x
_atom_site_fract_y
_atom_site_fract_z
_atom_site_occupancy
Dy1 Dy 0.0000 0.5000 0.2408 1
Ga1 Ga 0.0000 0.0000 0.0000 1
Ga2 Ga 0.0000 0.5000 0.6344 1
Cu1 Cu 0.5000 0.5000 0.0000 1
Pt1 Pt 0.0000 0.0000 0.5000 1
Pt2 Pt 0.0000 0.5000 0.8529 1
Pt3 Pt 0.5000 0.5000 0.5000 1
```

Principal peaks in the range 2θ = 10–90°, in order of rising 2θ:
2θ (°), I/Imax
23.58, 21
32.37, 20
32.50, 38
35.24, 100
44.95, 52
45.14, 25
45.98, 34
65.45, 17
66.26, 23
76.57, 21


Computed powder diffractogram
Compound: Dy2GaCuS5
Radiation: Cu Ka
Structure: a crystal structure in Alexandria, relaxed with GGA-PBE
Neutral-atom scattering factors, no anomalous dispersion.

Structure:
```
data_Dy2GaCuS5
_chemical_formula_sum 'Dy8 Ga4 Cu4 S20'
_space_group_name_H-M_alt 'C m c 21'
_space_group_IT_number 36
_cell_length_a 3.7750
_cell_length_b 17.7823
_cell_length_c 10.8290
_cell_angle_alpha 90.00
_cell_angle_beta 90.00
_cell_angle_gamma 90.00
loop_
_space_group_symop_operation_xyz
'x,y,z'
'-x,-y,z+1/2'
'-x,y,z'
'x,-y,z+1/2'
'x+1/2,y+1/2,z'
'-x+1/2,-y+1/2,z+1/2'
'-x+1/2,y+1/2,z'
'x+1/2,-y+1/2,z+1/2'
loop_
_atom_site_label
_atom_site_type_symbol
_atom_site_fract_x
_atom_site_fract_y
_atom_site_fract_z
_atom_site_occupancy
Dy1 Dy 0.0000 0.1025 0.0000 1
Dy2 Dy 0.0000 0.1156 0.6197 1
Ga1 Ga 0.0000 0.4068 0.7944 1
Cu1 Cu 0.0000 0.2547 0.4363 1
S1 S 0.0000 0.0401 0.3833 1
S2 S 0.0000 0.3133 0.9685 1
S3 S 0.0000 0.3176 0.6414 1
S4 S 0.0000 0.3588 0.3156 1
S5 S 0.0000 0.4972 0.6116 1
```

Principal peaks in the range 2θ = 10–90°, in order of rising 2θ:
2θ (°), I/Imax
16.37, 42
19.97, 53
26.65, 58
29.26, 100
32.63, 30
34.65, 46
37.67, 36
38.55, 79
42.99, 37
48.21, 31


Computed powder diffractogram
Compound: Tb2DyGa2Cu2
Radiation: Cu Ka
Structure: a crystal structure in Alexandria, relaxed with GGA-PBE
Neutral-atom scattering factors, no anomalous dispersion.

Structure:
```
data_Tb2DyGa2Cu2
_chemical_formula_sum 'Tb6 Dy3 Ga6 Cu6'
_space_group_name_H-M_alt 'R -3 m'
_space_group_IT_number 166
_space_group_name_Hall '-R 3 2"'
_cell_length_a 4.3734
_cell_length_b 4.3734
_cell_length_c 27.5911
_cell_angle_alpha 90.00
_cell_angle_beta 90.00
_cell_angle_gamma 120.00
loop_
_atom_site_label
_atom_site_type_symbol
_atom_site_fract_x
_atom_site_fract_y
_atom_site_fract_z
_atom_site_occupancy
Tb1 Tb 0.0000 0.0000 0.1235 1
Dy1 Dy 0.0000 0.0000 0.0000 1
Ga1 Ga 0.0000 0.0000 0.2648 1
Cu1 Cu 0.0000 0.0000 0.3965 1
```

Principal peaks in the range 2θ = 10–90°, in order of rising 2θ:
2θ (°), I/Imax
23.71, 44
32.79, 66
35.19, 100
41.29, 89
53.70, 16
55.35, 27
66.42, 28
69.91, 15
71.33, 25
75.27, 15


Computed powder diffractogram
Compound: Dy2Y2Ga4Cu
Radiation: Cu Ka
Structure: a crystal structure in Alexandria, relaxed with GGA-PBE
Neutral-atom scattering factors, no anomalous dispersion.

Structure:
```
data_Dy2Y2Ga4Cu
_chemical_formula_sum 'Dy4 Y4 Ga8 Cu2'
_space_group_name_H-M_alt 'I 4/m m m'
_space_group_IT_number 139
_space_group_name_Hall '-I 4 2'
_cell_length_a 6.9338
_cell_length_b 6.9338
_cell_length_c 8.5376
_cell_angle_alpha 90.00
_cell_angle_beta 90.00
_cell_angle_gamma 90.00
loop_
_atom_site_label
_atom_site_type_symbol
_atom_site_fract_x
_atom_site_fract_y
_atom_site_fract_z
_atom_site_occupancy
Dy1 Dy 0.0000 0.0000 0.1897 1
Y1 Y 0.0000 0.5000 0.2500 1
Ga1 Ga 0.2407 0.2407 0.5000 1
Cu1 Cu 0.0000 0.0000 0.5000 1
```

Principal peaks in the range 2θ = 10–90°, in order of rising 2θ:
2θ (°), I/Imax
18.09, 23
25.70, 19
33.29, 100
34.05, 33
36.66, 70
43.15, 28
52.81, 24
57.23, 16
57.87, 17
63.88, 29


Computed powder diffractogram
Compound: Dy3CuGe3
Radiation: Cu Ka
Structure: a crystal structure in Alexandria, relaxed with GGA-PBE
Neutral-atom scattering factors, no anomalous dispersion.

Structure:
```
data_Dy3CuGe3
_chemical_formula_sum 'Dy12 Cu4 Ge12'
_space_group_name_H-M_alt 'C 1 2/m 1'
_space_group_IT_number 12
_cell_length_a 10.6276
_cell_length_b 4.2645
_cell_length_c 13.8888
_cell_angle_alpha 90.00
_cell_angle_beta 110.29
_cell_angle_gamma 90.00
loop_
_space_group_symop_operation_xyz
'x,y,z'
'-x,-y,-z'
'-x,y,-z'
'x,-y,z'
'x+1/2,y+1/2,z'
'-x+1/2,-y+1/2,-z'
'-x+1/2,y+1/2,-z'
'x+1/2,-y+1/2,z'
loop_
_atom_site_label
_atom_site_type_symbol
_atom_site_fract_x
_atom_site_fract_y
_atom_site_fract_z
_atom_site_occupancy
Dy1 Dy 0.0325 0.0000 0.3816 1
Dy2 Dy 0.1003 0.0000 0.9225 1
Dy3 Dy 0.2434 0.0000 0.2260 1
Cu1 Cu 0.2413 0.5000 0.3956 1
Ge1 Ge 0.0334 0.5000 0.2337 1
Ge2 Ge 0.1234 0.5000 0.0760 1
Ge3 Ge 0.1375 0.5000 0.5457 1
```

Principal peaks in the range 2θ = 10–90°, in order of rising 2θ:
2θ (°), I/Imax
32.80, 78
32.96, 50
33.17, 26
33.28, 100
33.76, 53
37.71, 34
40.47, 86
41.62, 37
42.39, 60
55.26, 29


Computed powder diffractogram
Compound: Dy2CuGe6
Radiation: Cu Ka
Structure: a crystal structure in Alexandria, relaxed with GGA-PBE
Neutral-atom scattering factors, no anomalous dispersion.

Structure:
```
data_Dy2CuGe6
_chemical_formula_sum 'Dy4 Cu2 Ge12'
_space_group_name_H-M_alt 'A m m 2'
_space_group_IT_number 38
_cell_length_a 4.0914
_cell_length_b 4.0588
_cell_length_c 21.3858
_cell_angle_alpha 90.00
_cell_angle_beta 90.00
_cell_angle_gamma 90.00
loop_
_space_group_symop_operation_xyz
'x,y,z'
'-x,-y,z'
'-x,y,z'
'x,-y,z'
'x,y+1/2,z+1/2'
'-x,-y+1/2,z+1/2'
'-x,y+1/2,z+1/2'
'x,-y+1/2,z+1/2'
loop_
_atom_site_label
_atom_site_type_symbol
_atom_site_fract_x
_atom_site_fract_y
_atom_site_fract_z
_atom_site_occupancy
Dy1 Dy 0.0000 0.0000 0.0000 1
Dy2 Dy 0.0000 0.0000 0.3365 1
Cu1 Cu 0.5000 0.0000 0.7805 1
Ge1 Ge 0.0000 0.0000 0.6027 1
Ge2 Ge 0.0000 0.0000 0.7198 1
Ge3 Ge 0.5000 0.0000 0.1024 1
Ge4 Ge 0.5000 0.0000 0.2199 1
Ge5 Ge 0.5000 0.0000 0.4619 1
Ge6 Ge 0.5000 0.0000 0.8893 1
```

Principal peaks in the range 2θ = 10–90°, in order of rising 2θ:
2θ (°), I/Imax
25.25, 10
33.34, 19
33.54, 100
37.64, 19
43.16, 13
44.17, 15
44.28, 21
44.65, 20
64.32, 10
64.70, 13


Computed powder diffractogram
Compound: LiDyCuGe2
Radiation: Cu Ka
Structure: a crystal structure in Alexandria, relaxed with GGA-PBE
Neutral-atom scattering factors, no anomalous dispersion.

Structure:
```
data_LiDyCuGe2
_chemical_formula_sum 'Li2 Dy2 Cu2 Ge4'
_space_group_name_H-M_alt 'I -4 m 2'
_space_group_IT_number 119
_space_group_name_Hall 'I -4 -2'
_cell_length_a 4.0371
_cell_length_b 4.0371
_cell_length_c 10.6449
_cell_angle_alpha 90.00
_cell_angle_beta 90.00
_cell_angle_gamma 90.00
loop_
_atom_site_label
_atom_site_type_symbol
_atom_site_fract_x
_atom_site_fract_y
_atom_site_fract_z
_atom_site_occupancy
Li1 Li 0.0000 0.0000 0.0000 1
Dy1 Dy 0.0000 0.5000 0.7500 1
Cu1 Cu 0.0000 0.0000 0.5000 1
Ge1 Ge 0.0000 0.5000 0.1338 1
```

Principal peaks in the range 2θ = 10–90°, in order of rising 2θ:
2θ (°), I/Imax
16.66, 21
23.57, 23
31.34, 50
33.63, 100
35.69, 80
44.90, 49
48.33, 48
57.25, 44
68.09, 36
76.78, 17


Computed powder diffractogram
Compound: PmDyCuGe
Radiation: Cu Ka
Structure: a crystal structure in Alexandria, relaxed with GGA-PBE
Neutral-atom scattering factors, no anomalous dispersion.

Structure:
```
data_PmDyCuGe
_chemical_formula_sum 'Pm4 Dy4 Cu4 Ge4'
_space_group_name_H-M_alt 'F -4 3 m'
_space_group_IT_number 216
_space_group_name_Hall 'F -4 2 3'
_cell_length_a 7.1278
_cell_length_b 7.1278
_cell_length_c 7.1278
_cell_angle_alpha 90.00
_cell_angle_beta 90.00
_cell_angle_gamma 90.00
loop_
_atom_site_label
_atom_site_type_symbol
_atom_site_fract_x
_atom_site_fract_y
_atom_site_fract_z
_atom_site_occupancy
Pm1 Pm 0.0000 0.0000 0.0000 1
Dy1 Dy 0.0000 0.0000 0.5000 1
Cu1 Cu 0.2500 0.2500 0.7500 1
Ge1 Ge 0.2500 0.2500 0.2500 1
```

Principal peaks in the range 2θ = 10–90°, in order of rising 2θ:
2θ (°), I/Imax
24.99, 16
35.63, 100
44.01, 5
51.27, 18
57.85, 7
63.99, 36
75.44, 11
80.92, 3
86.32, 16